Starting from a DFT-relaxed cell (PBE, the Materials Project), the powder diffractogram of Te2Rh3 was simulated for Cu Kα X-rays.
Peak positions follow from Bragg's law for the DFT cell and can differ from measured ones.

Cell and atoms:
Lattice parameters (Å, degrees): 3.755 12.585 7.833 90.00 90.00 90.00
Space group Cmcm (No. 63)
One atom of each set of equivalent atoms:
Te1 0.000 0.000 0.000 x4
Te2 0.000 0.253 0.250 x4
Rh1 0.000 0.339 0.560 x8
Rh2 0.000 0.464 0.250 x4

Most intense lines, 15 to 90 degrees two-theta, in order of rising 2θ:
Position (°2θ), I/Imax, (hkl)
28.4, 17, 0 4 0
32.0, 49, 1 3 0
33.8, 27, 1 1 2
37.3, 24, 0 2 3
39.6, 100, 1 3 2
42.8, 62, 1 1 3
44.9, 48, 1 5 1
46.4, 17, 0 0 4
48.5, 36, 2 0 0
49.3, 30, 0 6 2
71.6, 19, 2 6 2
75.9, 19, 1 5 5